[1]
Simulated powder XRD pattern
Compound: Mg2Mn3CrS8
Radiation: a wavelength of 1.5418 Å
Structure: a crystal structure in the Materials Project, relaxed with PBE
Lines closer than 0.1° are merged.

Main lines, by angle (5 to 70 degrees two-theta):
2theta  d [Å]  Rel. int.
14.91  5.943  74
24.46  3.639  10
28.76  3.104  72
34.86  2.573  100
45.80  1.981  47
50.13  1.820  95
52.60  1.740  13
62.51  1.486  18

a = 7.278 Å, b = 7.278 Å, c = 7.278 Å
α = 60.02°, β = 60.02°, γ = 60.02°
Sites, in units of the cell vectors:
Mg 0.126 0.126 0.126
Mg 0.874 0.874 0.874
Mn 0.000 0.500 0.500
Mn 0.500 0.000 0.500
Mn 0.500 0.500 0.000
Cr 0.500 0.500 0.500
S 0.262 0.262 0.262
S 0.265 0.265 0.714
S 0.265 0.714 0.265
S 0.286 0.735 0.735
S 0.714 0.265 0.265
S 0.735 0.286 0.735
S 0.735 0.735 0.286
S 0.738 0.738 0.738

[2]
Simulated powder XRD pattern
Compound: MgTiP2O7
Radiation: a wavelength of 1.5418 Å
Structure: a crystal structure in the Materials Project, relaxed with PBE
Lines closer than 0.1° are merged.

Main lines, by angle (5 to 70 degrees two-theta):
2theta  d [Å]  Rel. int.
17.72  5.005  17
27.88  3.200  63
29.14  3.064  45
29.35  3.044  88
30.28  2.952  100
34.17  2.624  18
45.58  1.990  22
57.22  1.610  17

a = 5.669 Å, b = 6.576 Å, c = 7.328 Å
α = 85.52°, β = 86.57°, γ = 67.88°
Sites, in units of the cell vectors:
Mg 0.183 0.325 0.345
Mg 0.817 0.675 0.655
Ti 0.189 0.888 0.846
Ti 0.811 0.112 0.154
P 0.275 0.779 0.405
P 0.317 0.346 0.889
P 0.683 0.654 0.111
P 0.725 0.221 0.595
O 0.114 0.639 0.454
O 0.124 0.583 0.854
O 0.129 0.017 0.325
O 0.234 0.176 0.814
O 0.414 0.287 0.086
O 0.437 0.654 0.232
O 0.443 0.784 0.559
O 0.557 0.216 0.441
O 0.563 0.346 0.768
O 0.586 0.713 0.914
O 0.766 0.824 0.186
O 0.871 0.983 0.675
O 0.876 0.417 0.146
O 0.886 0.361 0.546

[3]
Simulated powder XRD pattern
Compound: Tb5Ge3B
Radiation: a wavelength of 1.5418 Å
Structure: a crystal structure in the Materials Project, relaxed with PBE
Lines closer than 0.1° are merged.

Main lines, by angle (5 to 70 degrees two-theta):
2theta  d [Å]  Rel. int.
30.31  2.949  31
31.49  2.841  40
34.53  2.598  100
34.79  2.578  80
35.84  2.506  35
50.81  1.797  23
53.67  1.708  28
56.79  1.621  20

a = 8.680 Å, b = 8.680 Å, c = 6.411 Å
α = 90.00°, β = 90.00°, γ = 120.00°
Sites, in units of the cell vectors:
Tb 0.000 0.238 0.250
Tb 0.000 0.762 0.750
Tb 0.238 0.000 0.250
Tb 0.238 0.238 0.750
Tb 0.333 0.667 0.000
Tb 0.333 0.667 0.500
Tb 0.667 0.333 0.000
Tb 0.667 0.333 0.500
Tb 0.762 0.000 0.750
Tb 0.762 0.762 0.250
Ge 0.000 0.398 0.750
Ge 0.000 0.602 0.250
Ge 0.398 0.000 0.750
Ge 0.398 0.398 0.250
Ge 0.602 0.000 0.250
Ge 0.602 0.602 0.750
B 0.000 0.000 0.000
B 0.000 0.000 0.500